Theoretical powder diffraction line list
Compound: SbS8Cl3
Radiation: a wavelength of 1.5418 Å
Structure: a crystal structure in the Materials Project, relaxed with GGA-PBE

Top 10 peaks for 2θ = 5–70°, by angle:
| d/Å | I (rel.) |
| --- | --- |
| 7.625 | 57 |
| 6.436 | 55 |
| 6.017 | 37 |
| 5.603 | 38 |
| 4.525 | 89 |
| 3.858 | 100 |
| 3.767 | 64 |
| 3.698 | 59 |
| 3.385 | 38 |
| 3.277 | 37 |

Atomic structure:
```
data_SbS8Cl3
_cell_length_a 8.583
_cell_length_b 9.450
_cell_length_c 11.533
_cell_angle_alpha 97.10
_cell_angle_beta 107.94
_cell_angle_gamma 109.02
_space_group_name_H-M_alt 'P 1'
_space_group_IT_number 1
loop_
_space_group_symop_operation_xyz
'x,y,z'
loop_
_atom_site_label
_atom_site_type_symbol
_atom_site_fract_x
_atom_site_fract_y
_atom_site_fract_z
Sb1 Sb 0.198 0.440 0.150
Sb2 Sb 0.802 0.560 0.850
S1 S 0.059 0.264 0.491
S2 S 0.113 0.155 0.857
S3 S 0.146 0.993 0.184
S4 S 0.157 0.741 0.653
S5 S 0.266 0.289 0.429
S6 S 0.274 0.075 0.376
S7 S 0.278 0.036 0.900
S8 S 0.327 0.968 0.743
S9 S 0.673 0.032 0.257
S10 S 0.722 0.964 0.100
S11 S 0.726 0.925 0.624
S12 S 0.734 0.711 0.571
S13 S 0.843 0.259 0.347
S14 S 0.854 0.007 0.816
S15 S 0.887 0.845 0.143
S16 S 0.941 0.736 0.509
Cl1 Cl 0.225 0.598 0.001
Cl2 Cl 0.248 0.646 0.317
Cl3 Cl 0.497 0.458 0.210
Cl4 Cl 0.503 0.542 0.790
Cl5 Cl 0.752 0.354 0.683
Cl6 Cl 0.775 0.402 0.999
```

Theoretical powder diffraction line list
Compound: Sb4S5Cl2
Radiation: a wavelength of 1.5418 Å
Structure: a crystal structure in the Materials Project, relaxed with GGA-PBE

Top 10 peaks for 2θ = 5–70°, by angle:
| d/Å | I (rel.) |
| --- | --- |
| 5.310 | 100 |
| 4.105 | 32 |
| 3.747 | 40 |
| 3.638 | 80 |
| 3.343 | 42 |
| 2.968 | 29 |
| 2.550 | 28 |
| 2.391 | 27 |
| 2.076 | 29 |
| 1.812 | 36 |

Atomic structure:
```
data_Sb4S5Cl2
_cell_length_a 11.207
_cell_length_b 9.565
_cell_length_c 12.060
_cell_angle_alpha 90.00
_cell_angle_beta 90.00
_cell_angle_gamma 90.00
_space_group_name_H-M_alt 'P 1'
_space_group_IT_number 1
loop_
_space_group_symop_operation_xyz
'x,y,z'
loop_
_atom_site_label
_atom_site_type_symbol
_atom_site_fract_x
_atom_site_fract_y
_atom_site_fract_z
Sb1 Sb 0.045 0.250 0.005
Sb2 Sb 0.060 0.750 0.545
Sb3 Sb 0.222 0.532 0.158
Sb4 Sb 0.222 0.968 0.158
Sb5 Sb 0.278 0.032 0.658
Sb6 Sb 0.278 0.468 0.658
Sb7 Sb 0.440 0.250 0.045
Sb8 Sb 0.455 0.750 0.505
Sb9 Sb 0.545 0.250 0.495
Sb10 Sb 0.560 0.750 0.955
Sb11 Sb 0.722 0.532 0.342
Sb12 Sb 0.722 0.968 0.342
Sb13 Sb 0.778 0.032 0.842
Sb14 Sb 0.778 0.468 0.842
Sb15 Sb 0.940 0.250 0.455
Sb16 Sb 0.955 0.750 0.995
S1 S 0.016 0.058 0.144
S2 S 0.016 0.442 0.144
S3 S 0.178 0.750 0.030
S4 S 0.189 0.554 0.483
S5 S 0.189 0.946 0.483
S6 S 0.311 0.054 0.983
S7 S 0.311 0.446 0.983
S8 S 0.322 0.250 0.530
S9 S 0.484 0.558 0.644
S10 S 0.484 0.942 0.644
S11 S 0.516 0.058 0.356
S12 S 0.516 0.442 0.356
S13 S 0.678 0.750 0.470
S14 S 0.689 0.554 0.017
S15 S 0.689 0.946 0.017
S16 S 0.811 0.054 0.517
S17 S 0.811 0.446 0.517
S18 S 0.822 0.250 0.970
S19 S 0.984 0.558 0.856
S20 S 0.984 0.942 0.856
Cl1 Cl 0.016 0.250 0.654
Cl2 Cl 0.214 0.750 0.729
Cl3 Cl 0.286 0.250 0.229
Cl4 Cl 0.484 0.750 0.154
Cl5 Cl 0.516 0.250 0.846
Cl6 Cl 0.714 0.750 0.771
Cl7 Cl 0.786 0.250 0.271
Cl8 Cl 0.984 0.750 0.346
```

Theoretical powder diffraction line list
Compound: WSeS2Cl5
Radiation: a wavelength of 1.5418 Å
Structure: a crystal structure in the Materials Project, relaxed with GGA-PBE

Top 10 peaks for 2θ = 5–70°, by angle:
| d/Å | I (rel.) |
| --- | --- |
| 7.905 | 100 |
| 6.401 | 51 |
| 6.302 | 45 |
| 4.557 | 8 |
| 4.410 | 9 |
| 4.239 | 7 |
| 2.394 | 8 |
| 2.135 | 8 |
| 2.117 | 12 |
| 2.007 | 8 |

Atomic structure:
```
data_WSeS2Cl5
_cell_length_a 10.195
_cell_length_b 10.195
_cell_length_c 14.460
_cell_angle_alpha 114.09
_cell_angle_beta 114.09
_cell_angle_gamma 57.14
_space_group_name_H-M_alt 'P 1'
_space_group_IT_number 1
loop_
_space_group_symop_operation_xyz
'x,y,z'
loop_
_atom_site_label
_atom_site_type_symbol
_atom_site_fract_x
_atom_site_fract_y
_atom_site_fract_z
W1 W 0.115 0.737 0.761
W2 W 0.263 0.885 0.739
W3 W 0.737 0.115 0.261
W4 W 0.885 0.263 0.239
Se1 Se 0.278 0.420 0.761
Se2 Se 0.420 0.278 0.261
Se3 Se 0.580 0.722 0.739
Se4 Se 0.722 0.580 0.239
S1 S 0.041 0.836 0.609
S2 S 0.164 0.959 0.891
S3 S 0.254 0.635 0.624
S4 S 0.365 0.746 0.876
S5 S 0.635 0.254 0.124
S6 S 0.746 0.365 0.376
S7 S 0.836 0.041 0.109
S8 S 0.959 0.164 0.391
Cl1 Cl 0.017 0.436 0.353
Cl2 Cl 0.065 0.155 0.729
Cl3 Cl 0.120 0.662 0.905
Cl4 Cl 0.155 0.065 0.229
Cl5 Cl 0.267 0.364 0.115
Cl6 Cl 0.338 0.880 0.595
Cl7 Cl 0.364 0.267 0.615
Cl8 Cl 0.364 0.525 0.367
Cl9 Cl 0.436 0.017 0.853
Cl10 Cl 0.475 0.636 0.133
Cl11 Cl 0.525 0.364 0.867
Cl12 Cl 0.564 0.983 0.147
Cl13 Cl 0.636 0.475 0.633
Cl14 Cl 0.636 0.733 0.385
Cl15 Cl 0.662 0.120 0.405
Cl16 Cl 0.733 0.636 0.885
Cl17 Cl 0.845 0.935 0.771
Cl18 Cl 0.880 0.338 0.095
Cl19 Cl 0.935 0.845 0.271
Cl20 Cl 0.983 0.564 0.647
```